Calculated XRD peak list of Li3B4C4 for a wavelength of 1.5418 Å, from a cell relaxed with PBE.
No peak broadening, texture or thermal motion is included.

Structure:
Cell lengths 4.723, 5.450, 7.688 Å; angles 79.71, 72.23, 90.00 degrees
Space group P-1 (No. 2)
Unique sites:
Li1 0.000 0.000 0.000 x1
Li2 0.000 0.500 0.000 x1
Li3 0.250 0.145 0.500 x2
Li4 0.499 0.250 0.001 x2
B1 0.041 0.189 0.248 x2
B2 0.044 0.686 0.247 x2
B3 0.456 0.560 0.753 x2
B4 0.459 0.063 0.752 x2
C1 0.208 0.938 0.247 x2
C2 0.215 0.439 0.241 x2
C3 0.285 0.310 0.759 x2
C4 0.292 0.812 0.753 x2

Largest 6 diffraction maxima, low angle first, 2θ from 10° to 90°:
12.31°, I 8.3; 24.76°, I 100.0; 38.12°, I 8.5; 45.98°, I 44.8; 50.78°, I 17.2; 68.89°, I 17.6

=====

Calculated XRD peak list of Sr2SiPd6Pb for a wavelength of 1.5418 Å, from a cell relaxed with PBE.
No peak broadening, texture or thermal motion is included.

Structure:
Cell lengths 5.740, 9.010, 8.507 Å; angles 90.00, 90.00, 90.00 degrees
Space group Pmmn (No. 59, origin choice 2)
Unique sites:
Sr1 0.250 0.006 0.226 x4
Si1 0.250 0.250 0.725 x2
Pd1 0.006 0.750 0.497 x4
Pd2 0.008 0.250 0.951 x4
Pd3 0.250 0.005 0.598 x4
Pb1 0.250 0.750 0.783 x2

Largest 6 diffraction maxima, low angle first, 2θ from 10° to 90°:
27.26°, I 70.6; 37.14°, I 69.3; 37.81°, I 93.9; 40.02°, I 100.0; 40.75°, I 92.9; 42.99°, I 68.6